No. 1
Computed X-ray diffraction stick pattern of MgBi2O6 for Cu Kα X-rays, from a structure optimized by DFT (PBE).
No peak broadening, texture or thermal motion is included.

The 12 most intense peaks (10 to 90 degrees two-theta), sorted by position:
| two_theta | d/Å | I/Imax |
| --- | --- | --- |
| 22.29 | 3.988 | 100 |
| 30.73 | 2.909 | 15 |
| 31.71 | 2.822 | 60 |
| 32.76 | 2.733 | 12 |
| 38.26 | 2.352 | 13 |
| 39.96 | 2.256 | 13 |
| 45.54 | 1.992 | 14 |
| 49.89 | 1.828 | 9 |
| 51.13 | 1.786 | 16 |
| 51.24 | 1.783 | 17 |
| 55.26 | 1.662 | 13 |
| 57.82 | 1.595 | 14 |

Cell and atoms:
Lattice parameters (Å, degrees): 7.9942 5.8185 5.4667 90.00 90.00 90.00
Space group Pmn2_1 (No. 31)
One atom of each set of equivalent atoms:
Mg1 0.0000 0.1749 0.0000 x2
Bi1 0.2490 0.7399 0.9704 x4
O1 0.0000 0.2904 0.6353 x2
O2 0.0000 0.8301 0.8517 x2
O3 0.1678 0.9856 0.2413 x4
O4 0.1809 0.4194 0.1243 x4

=====

No. 2
Computed X-ray diffraction stick pattern of Mg3Bi2O7 for Cu Kα X-rays, from a structure optimized by DFT (PBE).
No peak broadening, texture or thermal motion is included.

The 12 most intense peaks (10 to 90 degrees two-theta), sorted by position:
| two_theta | d/Å | I/Imax |
| --- | --- | --- |
| 18.12 | 4.895 | 49 |
| 22.66 | 3.925 | 92 |
| 26.10 | 3.414 | 20 |
| 31.49 | 2.841 | 25 |
| 31.68 | 2.824 | 27 |
| 31.96 | 2.800 | 100 |
| 36.73 | 2.447 | 19 |
| 45.27 | 2.003 | 24 |
| 47.56 | 1.912 | 21 |
| 49.14 | 1.854 | 19 |
| 56.37 | 1.632 | 25 |
| 56.60 | 1.626 | 29 |

Cell and atoms:
Lattice parameters (Å, degrees): 19.5809 5.6821 5.6485 90.00 90.00 90.00
Space group Cmc2_1 (No. 36)
One atom of each set of equivalent atoms:
Mg1 0.0000 0.2388 0.0000 x4
Mg2 0.2062 0.2976 0.9480 x8
Bi1 0.1047 0.2377 0.4923 x8
O1 0.0000 0.0827 0.3299 x4
O2 0.0770 0.4146 0.8360 x8
O3 0.1458 0.0933 0.1612 x8
O4 0.2091 0.3693 0.5817 x8

=====

No. 3
Computed X-ray diffraction stick pattern of MgBiO3 for Cu Kα X-rays, from a structure optimized by DFT (PBE).
No peak broadening, texture or thermal motion is included.

The 12 most intense peaks (10 to 90 degrees two-theta), sorted by position:
| two_theta | d/Å | I/Imax |
| --- | --- | --- |
| 22.59 | 3.936 | 67 |
| 32.17 | 2.783 | 100 |
| 39.67 | 2.272 | 43 |
| 46.13 | 1.968 | 31 |
| 51.95 | 1.760 | 33 |
| 57.35 | 1.607 | 41 |
| 67.29 | 1.391 | 19 |
| 71.98 | 1.312 | 17 |
| 76.55 | 1.245 | 18 |
| 81.03 | 1.187 | 16 |
| 85.46 | 1.136 | 7 |
| 89.86 | 1.092 | 8 |

Cell and atoms:
Lattice parameters (Å, degrees): 3.9356 3.9356 3.9356 90.00 90.00 90.00
Space group Pm-3m (No. 221)
One atom of each set of equivalent atoms:
Mg1 0.0000 0.0000 0.0000 x1
Bi1 0.5000 0.5000 0.5000 x1
O1 0.0000 0.0000 0.5000 x3

=====

No. 4
Computed X-ray diffraction stick pattern of MgBi2P2O10 for Cu Kα X-rays, from a structure optimized by DFT (PBE).
No peak broadening, texture or thermal motion is included.

The 12 most intense peaks (10 to 90 degrees two-theta), sorted by position:
| two_theta | d/Å | I/Imax |
| --- | --- | --- |
| 13.87 | 6.386 | 88 |
| 21.75 | 4.086 | 28 |
| 23.11 | 3.848 | 57 |
| 23.67 | 3.759 | 30 |
| 27.94 | 3.193 | 100 |
| 28.64 | 3.117 | 40 |
| 32.36 | 2.766 | 28 |
| 35.55 | 2.525 | 23 |
| 37.92 | 2.373 | 16 |
| 44.34 | 2.043 | 28 |
| 47.24 | 1.924 | 26 |
| 50.52 | 1.807 | 20 |

Cell and atoms:
Lattice parameters (Å, degrees): 13.6365 15.0356 8.2431 90.00 90.00 90.00
Space group Fdd2 (No. 43)
One atom of each set of equivalent atoms:
Mg1 0.0000 0.0000 0.0000 x8
Bi1 0.1155 0.1256 0.5761 x16
P1 0.0260 0.3096 0.4366 x16
O1 0.0028 0.4521 0.9438 x16
O2 0.0052 0.1074 0.8379 x16
O3 0.0374 0.3438 0.6141 x16
O4 0.0569 0.2622 0.9427 x16
O5 0.1211 0.2631 0.3776 x16

=====

No. 5
Computed X-ray diffraction stick pattern of Mg3Bi2P2O12 for Cu Kα X-rays, from a structure optimized by DFT (PBE).
No peak broadening, texture or thermal motion is included.

The 12 most intense peaks (10 to 90 degrees two-theta), sorted by position:
| two_theta | d/Å | I/Imax |
| --- | --- | --- |
| 13.16 | 6.727 | 94 |
| 13.58 | 6.520 | 98 |
| 21.47 | 4.138 | 30 |
| 22.08 | 4.026 | 93 |
| 22.57 | 3.940 | 68 |
| 29.51 | 3.026 | 100 |
| 30.10 | 2.969 | 90 |
| 31.41 | 2.848 | 79 |
| 32.15 | 2.785 | 78 |
| 33.47 | 2.678 | 34 |
| 36.11 | 2.488 | 24 |
| 48.97 | 1.860 | 26 |

Cell and atoms:
Lattice parameters (Å, degrees): 7.1571 5.3551 7.3842 90.00 114.36 90.00
Space group Pm (No. 6)
One atom of each set of equivalent atoms:
Mg1 0.0000 0.0000 0.0000 x1
Mg2 0.1741 0.5000 0.7903 x1
Mg3 0.6208 0.0000 0.6080 x1
Bi1 0.2966 0.5000 0.2900 x1
Bi2 0.5046 0.0000 0.1134 x1
P1 0.1030 0.0000 0.5085 x1
P2 0.6994 0.5000 0.8961 x1
O1 0.0078 0.0000 0.2782 x1
O2 0.0317 0.2314 0.5892 x2
O3 0.2270 0.2508 0.0261 x2
O4 0.3384 0.0000 0.5894 x1
O5 0.4631 0.5000 0.8051 x1
O6 0.5549 0.2376 0.3735 x2
O7 0.7758 0.2575 0.8271 x2
O8 0.7913 0.5000 0.1241 x1

=====

No. 6
Computed X-ray diffraction stick pattern of MgBi4P8O28 for Cu Kα X-rays, from a structure optimized by DFT (PBE).
No peak broadening, texture or thermal motion is included.

The 12 most intense peaks (10 to 90 degrees two-theta), sorted by position:
| two_theta | d/Å | I/Imax |
| --- | --- | --- |
| 13.45 | 6.583 | 73 |
| 20.53 | 4.325 | 15 |
| 21.27 | 4.177 | 52 |
| 21.79 | 4.079 | 100 |
| 26.39 | 3.377 | 13 |
| 27.13 | 3.287 | 15 |
| 29.81 | 2.997 | 20 |
| 30.11 | 2.968 | 14 |
| 30.22 | 2.958 | 19 |
| 33.77 | 2.654 | 12 |
| 34.23 | 2.620 | 16 |
| 37.92 | 2.373 | 14 |

Cell and atoms:
Lattice parameters (Å, degrees): 5.2450 9.0119 13.4839 77.55 89.03 87.53
Space group P1 (No. 1)
One atom of each set of equivalent atoms:
Mg1 0.0000 0.0000 0.0000 x1
Bi1 0.5055 0.3325 0.3107 x1
Bi2 0.5429 0.8348 0.8095 x1
Bi3 0.9600 0.8530 0.2714 x1
Bi4 0.9804 0.3943 0.7608 x1
P1 0.0020 0.5209 0.1636 x1
P2 0.0070 0.1277 0.4401 x1
P3 0.0121 0.0561 0.6717 x1
P4 0.0267 0.6609 0.9427 x1
P5 0.4483 0.6634 0.4021 x1
P6 0.4680 0.0821 0.1288 x1
P7 0.4825 0.5906 0.6308 x1
P8 0.4854 0.1895 0.9153 x1
O1 0.0603 0.0416 0.5545 x1
O2 0.0699 0.0133 0.3760 x1
O3 0.1061 0.2116 0.6789 x1
O4 0.1613 0.6614 0.3849 x1
O5 0.1655 0.9199 0.7332 x1
O6 0.1720 0.2702 0.4139 x1
O7 0.2008 0.5521 0.6482 x1
O8 0.2442 0.9778 0.1249 x1
O9 0.2891 0.5022 0.1918 x1
O10 0.3150 0.6651 0.9252 x1
O11 0.3347 0.0471 0.9129 x1
O12 0.3871 0.3342 0.8445 x1
O13 0.4362 0.2203 0.0308 x1
O14 0.4439 0.1477 0.2243 x1
O15 0.5023 0.6835 0.5140 x1
O16 0.5636 0.8034 0.3331 x1
O17 0.5694 0.7076 0.6881 x1
O18 0.5904 0.5127 0.3923 x1
O19 0.6665 0.4521 0.6426 x1
O20 0.7210 0.1810 0.4377 x1
O21 0.7275 0.0385 0.6950 x1
O22 0.7305 0.0039 0.1187 x1
O23 0.7764 0.1618 0.9051 x1
O24 0.8644 0.3753 0.2144 x1
O25 0.8769 0.6102 0.8596 x1
O26 0.8807 0.6673 0.1836 x1
O27 0.9044 0.8111 0.9603 x1
O28 0.9871 0.5268 0.0441 x1